Record 1
Computed powder diffraction line list of BaYPa2O8 for Cu Kα, from DFT lattice parameters and positions (PBE).
No peak broadening, texture or thermal motion is included.

Cell and atoms:
```
data_BaYPa2O8
_chemical_formula_sum 'Ba2 Y2 Pa4 O16'
_cell_length_a 5.599
_cell_length_b 5.599
_cell_length_c 10.964
_cell_angle_alpha 90.00
_cell_angle_beta 90.00
_cell_angle_gamma 90.00
_space_group_name_H-M_alt 'I -4'
_space_group_IT_number 82
loop_
_space_group_symop_operation_xyz
'x,y,z'
'y,-x,-z'
'-x,-y,z'
'-y,x,-z'
'x+1/2,y+1/2,z+1/2'
'y+1/2,-x+1/2,-z+1/2'
'-x+1/2,-y+1/2,z+1/2'
'-y+1/2,x+1/2,-z+1/2'
loop_
_atom_site_label
_atom_site_type_symbol
_atom_site_fract_x
_atom_site_fract_y
_atom_site_fract_z
Ba1 Ba 0.000 0.000 0.000
Y1 Y 0.000 0.500 0.750
Pa1 Pa 0.000 0.000 0.500
Pa2 Pa 0.000 0.500 0.250
O1 O 0.223 0.237 0.368
O2 O 0.223 0.765 0.369
```

Largest 10 diffraction maxima, by intensity, 2θ from 10° to 80°:
Position (°2θ)  I/Imax
27.80  100
46.36  34
54.46  31
31.97  23
17.79  18
45.84  18
55.38  15
74.64  13
32.67  11
57.42  10

***

Record 2
Computed powder diffraction line list of BaZrPaO6 for Cu Kα, from DFT lattice parameters and positions (PBE).
No peak broadening, texture or thermal motion is included.

Cell and atoms:
```
data_BaZrPaO6
_chemical_formula_sum 'Ba2 Zr2 Pa2 O12'
_cell_length_a 5.8240
_cell_length_b 5.8240
_cell_length_c 11.2030
_cell_angle_alpha 90.00
_cell_angle_beta 90.00
_cell_angle_gamma 120.00
_space_group_name_H-M_alt 'P -3 1 c'
_space_group_IT_number 163
_space_group_name_Hall '-P 3 2c'
loop_
_atom_site_label
_atom_site_type_symbol
_atom_site_fract_x
_atom_site_fract_y
_atom_site_fract_z
Ba1 Ba 0.0000 0.0000 0.0000
Zr1 Zr 0.3333 0.6667 0.2500
Pa1 Pa 0.3333 0.6667 0.7500
O1 O 0.0039 0.3812 0.1490
```

Largest 10 diffraction maxima, by intensity, 2θ from 10° to 80°:
Position (°2θ)  I/Imax
23.74  100
44.90  50
30.70  48
50.58  25
39.18  24
15.82  23
19.30  22
54.59  16
34.72  15
31.95  12